(1)
# NdAlZnPd2
Calculated PXRD pattern, Cu Kα (λ = 1.5418 Å). Input: a GGA-PBE-relaxed structure.
Peak positions follow from Bragg's law for the DFT cell and can differ from measured ones.

Structure:
```
NdAlZnPd2
1.0
2.6869 -6.5008 0.0000
2.6869 6.5008 0.0000
0.0000 0.0000 5.6900
Nd Al Zn Pd
2 2 2 4
Cartesian
2.6869 3.2504 4.3891 Nd
2.6869 -3.2504 1.3009 Nd
1.3434 0.0000 2.8450 Al
4.0303 0.0000 2.8450 Al
0.0000 0.0000 0.0000 Zn
2.6869 0.0000 0.0000 Zn
2.6869 4.6512 1.7136 Pd
2.6869 1.8497 1.7136 Pd
2.6869 -1.8497 3.9764 Pd
2.6869 -4.6512 3.9764 Pd
```

Main lines, sorted by position (2θ = 5–70°):
2θ = 13.6°, d 6.501, I 26
2θ = 30.8°, d 2.902, I 100
2θ = 31.4°, d 2.845, I 20
2θ = 33.3°, d 2.687, I 61
2θ = 34.4°, d 2.606, I 51
2θ = 36.4°, d 2.469, I 23
2θ = 41.7°, d 2.165, I 94
2θ = 46.5°, d 1.953, I 21
2θ = 46.7°, d 1.946, I 18
2θ = 48.7°, d 1.871, I 25
2θ = 58.0°, d 1.590, I 16
2θ = 65.4°, d 1.428, I 29



(2)
# Sc5Co3
Calculated PXRD pattern, Cu Kα (λ = 1.5418 Å). Input: a GGA-PBE-relaxed structure.
Peak positions follow from Bragg's law for the DFT cell and can differ from measured ones.

Structure:
```
Sc5Co3
1.0
5.5227 -5.0627 0.0000
5.5227 5.0627 0.0000
-2.4461 0.0000 5.0815
Sc Co
10 6
Cartesian
3.6882 4.9403 3.8111 Sc
3.5551 2.1281 2.1760 Sc
1.2390 0.7542 4.0926 Sc
2.4620 -0.7542 1.5519 Sc
6.2674 2.1281 0.3648 Sc
2.3320 -2.1281 4.7167 Sc
6.1373 0.7542 3.5297 Sc
7.3604 -0.7542 0.9889 Sc
5.0443 -2.1281 2.9056 Sc
4.9112 -4.9403 1.2704 Sc
1.5264 3.3840 4.7242 Co
5.8499 3.3840 2.8981 Co
4.9112 0.0330 1.2704 Co
3.6882 -0.0330 3.8111 Co
2.7494 -3.3840 2.1834 Co
7.0730 -3.3840 0.3573 Co
```

Main lines, sorted by position (2θ = 5–70°):
2θ = 18.1°, d 4.913, I 19
2θ = 31.9°, d 2.810, I 15
2θ = 35.0°, d 2.561, I 43
2θ = 35.2°, d 2.550, I 17
2θ = 36.6°, d 2.456, I 41
2θ = 38.1°, d 2.363, I 57
2θ = 39.4°, d 2.289, I 19
2θ = 39.7°, d 2.270, I 71
2θ = 40.0°, d 2.256, I 29
2θ = 40.4°, d 2.232, I 100
2θ = 41.9°, d 2.156, I 36
2θ = 46.7°, d 1.947, I 15



(3)
# K4SrSi3O9
Calculated PXRD pattern, Cu Kα (λ = 1.5418 Å). Input: a GGA-PBE-relaxed structure.
Peak positions follow from Bragg's law for the DFT cell and can differ from measured ones.

Structure:
```
K4SrSi3O9
1.0
11.1268 0.0000 0.0000
0.0000 4.0336 6.0317
0.0000 -4.0336 6.0317
K Sr Si O
8 2 6 18
Cartesian
0.0000 0.0000 0.0000 K
0.0000 0.0000 5.2952 K
2.7817 1.8120 5.9381 K
2.7817 0.4514 9.4769 K
5.5634 0.0000 0.0000 K
5.5634 0.0000 5.2952 K
8.3451 -1.8120 5.9381 K
8.3451 -0.4514 9.4769 K
2.7817 -0.0860 2.8036 Sr
8.3451 0.0860 2.8036 Sr
0.3493 -1.5591 8.5700 Si
2.7817 -1.7935 6.4352 Si
5.2141 -1.5591 8.5700 Si
5.9127 1.5591 8.5700 Si
8.3451 1.7935 6.4352 Si
10.7774 1.5591 8.5700 Si
0.0000 0.0000 9.1358 O
1.0005 2.2552 8.0056 O
1.1496 1.7210 3.7215 O
1.4291 -1.2782 7.2954 O
2.7817 -3.4159 6.3315 O
2.7817 -0.9837 5.0416 O
4.1343 -1.2782 7.2954 O
4.4138 1.7210 3.7215 O
4.5629 2.2552 8.0056 O
5.5634 0.0000 9.1358 O
6.5639 -2.2552 8.0056 O
6.7130 -1.7210 3.7215 O
6.9925 1.2782 7.2954 O
8.3451 0.9837 5.0416 O
8.3451 3.4159 6.3315 O
9.6977 1.2782 7.2954 O
9.9772 -1.7210 3.7215 O
10.1263 -2.2552 8.0056 O
```

Main lines, sorted by position (2θ = 5–70°):
2θ = 14.7°, d 6.032, I 11
2θ = 20.7°, d 4.282, I 20
2θ = 29.6°, d 3.019, I 46
2θ = 31.1°, d 2.872, I 100
2θ = 32.2°, d 2.782, I 25
2θ = 34.2°, d 2.625, I 10
2θ = 39.0°, d 2.312, I 10
2θ = 39.3°, d 2.290, I 12
2θ = 42.2°, d 2.141, I 9
2θ = 44.3°, d 2.045, I 21
2θ = 56.7°, d 1.623, I 10
2θ = 61.4°, d 1.509, I 10



(4)
# Li2Ac3Pt4
Calculated PXRD pattern, Cu Kα (λ = 1.5418 Å). Input: a GGA-PBE-relaxed structure.
Peak positions follow from Bragg's law for the DFT cell and can differ from measured ones.

Structure:
```
Li2Ac3Pt4
1.0
4.1827 0.0000 0.0000
0.0023 7.3717 0.0000
2.0827 2.5065 7.2033
Li Ac Pt
2 3 4
Cartesian
1.0451 3.9665 1.0178 Li
5.2227 5.9117 6.1855 Li
3.1328 8.8197 5.6619 Ac
3.1339 4.9391 3.6016 Ac
3.1350 1.0586 1.5413 Ac
1.0420 2.6393 3.3902 Pt
3.1299 4.3692 6.6337 Pt
3.1380 5.5090 0.5695 Pt
5.2258 7.2389 3.8131 Pt
```

Main lines, sorted by position (2θ = 5–70°):
2θ = 24.5°, d 3.633, I 65
2θ = 28.3°, d 3.154, I 92
2θ = 29.2°, d 3.054, I 32
2θ = 31.5°, d 2.841, I 41
2θ = 32.5°, d 2.759, I 100
2θ = 33.6°, d 2.665, I 79
2θ = 36.6°, d 2.458, I 68
2θ = 38.6°, d 2.330, I 35
2θ = 43.2°, d 2.094, I 38
2θ = 43.3°, d 2.091, I 49
2θ = 44.8°, d 2.023, I 34
2θ = 48.5°, d 1.876, I 33



(5)
# Pm2Al3Ga6
Calculated PXRD pattern, Cu Kα (λ = 1.5418 Å). Input: a GGA-PBE-relaxed structure.
Peak positions follow from Bragg's law for the DFT cell and can differ from measured ones.

Structure:
```
Pm2Al3Ga6
1.0
4.8670 -5.9412 0.0000
4.8670 5.9412 0.0000
0.0000 0.0000 3.9577
Pm Al Ga
2 3 6
Cartesian
4.8670 3.6203 0.0000 Pm
4.8670 -3.6203 0.0000 Pm
2.9396 0.0000 0.0000 Al
4.8670 0.0000 1.9788 Al
6.7944 0.0000 0.0000 Al
1.1848 0.0000 1.9788 Ga
2.9721 1.8659 1.9788 Ga
2.9721 -1.8659 1.9788 Ga
6.7619 1.8659 1.9788 Ga
6.7619 -1.8659 1.9788 Ga
8.5492 0.0000 1.9788 Ga
```

Main lines, sorted by position (2θ = 5–70°):
2θ = 11.8°, d 7.530, I 30
2θ = 27.1°, d 3.294, I 23
2θ = 29.1°, d 3.071, I 70
2θ = 32.8°, d 2.728, I 80
2θ = 33.3°, d 2.691, I 100
2θ = 35.8°, d 2.510, I 70
2θ = 39.0°, d 2.309, I 18
2θ = 40.0°, d 2.252, I 19
2θ = 45.8°, d 1.979, I 55
2θ = 53.0°, d 1.727, I 37
2θ = 57.7°, d 1.598, I 21
2θ = 59.5°, d 1.554, I 31



(6)
# K2FeI2Br2
Calculated PXRD pattern, Cu Kα (λ = 1.5418 Å). Input: a GGA-PBE-relaxed structure.
Peak positions follow from Bragg's law for the DFT cell and can differ from measured ones.

Structure:
```
K2FeI2Br2
1.0
8.1098 -2.2281 0.0000
8.1098 2.2281 0.0000
-3.7771 0.0000 6.8580
K Fe I Br
2 1 2 2
Cartesian
1.9453 0.0000 1.0609 K
10.4972 0.0000 5.7971 K
-1.8886 0.0000 3.4290 Fe
5.2808 0.0000 5.1164 I
7.1617 0.0000 1.7416 I
0.3201 0.0000 4.6608 Br
12.1223 0.0000 2.1972 Br
```

Main lines, sorted by position (2θ = 5–70°):
2θ = 12.5°, d 7.104, I 38
2θ = 12.9°, d 6.857, I 18
2θ = 26.0°, d 3.429, I 46
2θ = 27.5°, d 3.245, I 71
2θ = 31.1°, d 2.880, I 100
2θ = 34.1°, d 2.630, I 18
2θ = 38.0°, d 2.368, I 22
2θ = 40.5°, d 2.228, I 20
2θ = 44.3°, d 2.043, I 41
2θ = 48.7°, d 1.868, I 16
2θ = 54.8°, d 1.676, I 19
2θ = 55.0°, d 1.670, I 15



(7)
# Pu8GeRh6
Calculated PXRD pattern, Cu Kα (λ = 1.5418 Å). Input: a GGA-PBE-relaxed structure.
Peak positions follow from Bragg's law for the DFT cell and can differ from measured ones.

Structure:
```
Pu8GeRh6
1.0
3.2926 1.9010 9.0691
-3.2926 1.9010 9.0691
0.0000 -3.8020 9.0691
Pu Ge Rh
8 1 6
Cartesian
-1.2087 -2.0713 10.2903 Pu
0.0000 0.0000 4.5347 Pu
-2.3982 0.0111 16.9170 Pu
-1.1895 2.0824 10.2904 Pu
1.1895 -2.0824 16.9170 Pu
2.3982 -0.0111 10.2903 Pu
0.0000 0.0000 22.6726 Pu
1.2087 2.0713 16.9170 Pu
0.0000 0.0000 13.6037 Ge
-1.8271 0.0007 11.8866 Rh
-0.9142 -1.5820 15.3208 Rh
0.9130 -1.5827 11.8865 Rh
-0.9130 1.5827 15.3208 Rh
0.9142 1.5820 11.8865 Rh
1.8271 -0.0007 15.3208 Rh
```

Main lines, sorted by position (2θ = 5–70°):
2θ = 28.8°, d 3.095, I 49
2θ = 29.5°, d 3.023, I 10
2θ = 33.6°, d 2.664, I 100
2θ = 40.5°, d 2.227, I 17
2θ = 42.5°, d 2.129, I 7
2θ = 47.8°, d 1.901, I 32
2θ = 48.8°, d 1.867, I 25
2θ = 50.3°, d 1.814, I 6
2θ = 56.8°, d 1.620, I 8
2θ = 57.2°, d 1.609, I 11
2θ = 58.1°, d 1.589, I 6
2θ = 59.8°, d 1.547, I 14



(8)
# AcLaGaSn
Calculated PXRD pattern, Cu Kα (λ = 1.5418 Å). Input: a GGA-PBE-relaxed structure.
Peak positions follow from Bragg's law for the DFT cell and can differ from measured ones.

Structure:
```
AcLaGaSn
1.0
4.3834 0.0000 0.0000
0.0000 2.3984 6.0556
0.0000 -2.3984 6.0556
Ac La Ga Sn
1 1 1 1
Cartesian
0.0000 0.0000 0.0000 Ac
2.1917 0.0000 8.6932 La
2.1917 0.0000 5.2745 Ga
0.0000 0.0000 3.4514 Sn
```

Main lines, sorted by position (2θ = 5–70°):
2θ = 25.1°, d 3.551, I 19
2θ = 28.6°, d 3.126, I 100
2θ = 28.9°, d 3.089, I 46
2θ = 29.5°, d 3.028, I 27
2θ = 35.6°, d 2.525, I 57
2θ = 36.1°, d 2.491, I 23
2θ = 37.5°, d 2.398, I 28
2θ = 41.2°, d 2.192, I 22
2θ = 51.1°, d 1.787, I 20
2θ = 53.0°, d 1.728, I 16
2θ = 56.5°, d 1.628, I 17
2θ = 56.9°, d 1.618, I 17



(9)
# TbPr2ZnTe5
Calculated PXRD pattern, Cu Kα (λ = 1.5418 Å). Input: a GGA-PBE-relaxed structure.
Peak positions follow from Bragg's law for the DFT cell and can differ from measured ones.

Structure:
```
TbPr2ZnTe5
1.0
2.1612 -9.6897 0.0000
2.1612 9.6897 0.0000
0.0000 0.0000 13.2595
Tb Pr Zn Te
2 4 2 10
Cartesian
2.1612 5.8259 6.6297 Tb
2.1612 -5.8259 0.0000 Tb
2.1612 7.4809 2.2703 Pr
2.1612 7.1893 10.5444 Pr
2.1612 -7.1893 3.9147 Pr
2.1612 -7.4809 8.9001 Pr
2.1612 1.2439 12.5384 Zn
2.1612 -1.2439 5.9086 Zn
2.1612 8.8046 7.4007 Te
2.1612 4.1556 2.1578 Te
2.1612 3.6262 11.0615 Te
2.1612 2.7502 6.4686 Te
2.1612 0.0115 3.6199 Te
2.1612 -0.0115 10.2496 Te
2.1612 -2.7502 13.0984 Te
2.1612 -3.6262 4.4318 Te
2.1612 -4.1556 8.7876 Te
2.1612 -8.8046 0.7710 Te
```

Main lines, sorted by position (2θ = 5–70°):
2θ = 25.0°, d 3.559, I 18
2θ = 28.4°, d 3.138, I 51
2θ = 29.3°, d 3.052, I 100
2θ = 31.0°, d 2.886, I 11
2θ = 33.9°, d 2.646, I 57
2θ = 37.2°, d 2.416, I 15
2θ = 41.8°, d 2.161, I 29
2θ = 41.9°, d 2.155, I 11
2θ = 44.2°, d 2.050, I 10
2θ = 47.7°, d 1.907, I 13
2θ = 51.3°, d 1.780, I 20
2θ = 68.7°, d 1.367, I 13



(10)
# NbV2P4
Calculated PXRD pattern, Cu Kα (λ = 1.5418 Å). Input: a GGA-PBE-relaxed structure.
Peak positions follow from Bragg's law for the DFT cell and can differ from measured ones.

Structure:
```
NbV2P4
1.0
-2.3510 2.3510 6.0670
2.3510 -2.3510 6.0670
2.3510 2.3510 -6.0670
Nb V P
1 2 4
Cartesian
0.0000 0.0000 0.0000 Nb
0.0000 0.0000 4.7863 V
0.0000 0.0000 7.3478 V
2.3510 0.0000 0.0000 P
0.0000 0.0000 2.5488 P
0.0000 2.3510 0.0000 P
0.0000 0.0000 9.5853 P
```

Main lines, sorted by position (2θ = 5–70°):
2θ = 14.6°, d 6.067, I 92
2θ = 20.3°, d 4.384, I 10
2θ = 26.8°, d 3.325, I 100
2θ = 29.1°, d 3.066, I 37
2θ = 29.4°, d 3.034, I 11
2θ = 38.3°, d 2.351, I 98
2θ = 41.2°, d 2.192, I 26
2θ = 41.9°, d 2.157, I 94
2θ = 48.8°, d 1.866, I 17
2θ = 55.3°, d 1.662, I 31
2θ = 58.0°, d 1.589, I 68
2θ = 62.5°, d 1.487, I 16



(11)
# Tm3TlIn2
Calculated PXRD pattern, Cu Kα (λ = 1.5418 Å). Input: a GGA-PBE-relaxed structure.
Peak positions follow from Bragg's law for the DFT cell and can differ from measured ones.

Structure:
```
Tm3TlIn2
1.0
3.6097 0.0000 0.0000
0.0000 3.6097 0.0000
0.0000 0.0000 11.9796
Tm Tl In
3 1 2
Cartesian
0.0000 0.0000 0.0000 Tm
0.0000 0.0000 3.9542 Tm
0.0000 0.0000 8.0253 Tm
1.8049 1.8049 5.9898 Tl
1.8049 1.8049 1.9878 In
1.8049 1.8049 9.9917 In
```

Main lines, sorted by position (2θ = 5–70°):
2θ = 7.4°, d 11.980, I 5
2θ = 14.8°, d 5.990, I 1
2θ = 24.7°, d 3.610, I 1
2θ = 25.8°, d 3.456, I 2
2θ = 28.9°, d 3.092, I 2
2θ = 33.5°, d 2.678, I 100
2θ = 35.2°, d 2.552, I 44
2θ = 45.4°, d 1.997, I 11
2θ = 50.6°, d 1.805, I 16
2θ = 52.4°, d 1.747, I 1
2θ = 58.7°, d 1.573, I 20
2θ = 62.0°, d 1.497, I 34



(12)
# TmNpRh14
Calculated PXRD pattern, Cu Kα (λ = 1.5418 Å). Input: a GGA-PBE-relaxed structure.
Peak positions follow from Bragg's law for the DFT cell and can differ from measured ones.

Structure:
```
TmNpRh14
1.0
5.5495 0.0000 0.0000
0.0000 5.5495 0.0000
0.0000 0.0000 7.8992
Tm Np Rh
1 1 14
Cartesian
0.0000 0.0000 0.0000 Tm
2.7748 2.7748 0.0000 Np
0.0000 0.0000 3.9496 Rh
0.0000 2.7748 0.0000 Rh
0.0000 2.7748 3.9496 Rh
1.4108 1.4108 2.0588 Rh
1.4108 1.4108 5.8403 Rh
1.4108 4.1387 2.0588 Rh
1.4108 4.1387 5.8403 Rh
2.7748 0.0000 0.0000 Rh
2.7748 0.0000 3.9496 Rh
2.7748 2.7748 3.9496 Rh
4.1387 1.4108 2.0588 Rh
4.1387 1.4108 5.8403 Rh
4.1387 4.1387 2.0588 Rh
4.1387 4.1387 5.8403 Rh
```

Main lines, sorted by position (2θ = 5–70°):
2θ = 11.2°, d 7.899, I 2
2θ = 22.7°, d 3.924, I 2
2θ = 25.3°, d 3.514, I 3
2θ = 32.2°, d 2.784, I 2
2θ = 34.0°, d 2.633, I 1
2θ = 34.3°, d 2.618, I 3
2θ = 39.7°, d 2.270, I 100
2θ = 46.0°, d 1.975, I 16
2θ = 46.3°, d 1.962, I 32
2θ = 67.3°, d 1.392, I 20
2θ = 67.5°, d 1.387, I 10
2θ = 68.3°, d 1.373, I 1